Record 1
For Pr4ErTe7, a structure optimized by DFT (PBE) gives the theoretical powder diffractogram in this record (λ = 1.5418 Å (Cu Kα)).

Largest 10 diffraction maxima, low angle first, 10° ≤ 2θ ≤ 90°:
d [Å], I/Imax
3.348, 61
3.296, 42
3.253, 88
3.213, 49
3.101, 100
3.002, 68
2.827, 58
2.480, 51
2.203, 46
2.183, 65

Lattice parameters (Å, degrees): 7.6768 7.6768 13.4731 104.11 104.11 33.04
Positions (direct):
Pr  0.0000  0.0000  0.0000
Pr  0.1870  0.1870  0.7651
Pr  0.5861  0.5861  0.3800
Pr  0.8859  0.8859  0.5690
Er  0.7713  0.7713  0.1481
Te  0.1539  0.1539  0.2221
Te  0.2230  0.2230  0.5236
Te  0.3804  0.3804  0.0764
Te  0.5484  0.5484  0.6213
Te  0.6314  0.6314  0.9288
Te  0.8502  0.8502  0.7887
Te  0.9207  0.9207  0.3486

Record 2
For SrDy4YSe8, a structure optimized by DFT (PBE) gives the theoretical powder diffractogram in this record (λ = 1.5418 Å (Cu Kα)).

Largest 10 diffraction maxima, low angle first, 10° ≤ 2θ ≤ 90°:
d [Å], I/Imax
6.967, 23
4.266, 23
3.637, 86
3.016, 59
2.322, 52
2.133, 100
1.571, 20
1.349, 16
1.231, 30
1.166, 16

Lattice parameters (Å, degrees): 8.5334 8.5334 8.5334 59.95 59.95 59.95
Positions (direct):
Sr  0.0000  0.0000  0.0000
Dy  0.3729  0.3729  0.8802
Dy  0.3729  0.8802  0.3729
Dy  0.7496  0.7496  0.7496
Dy  0.8802  0.3729  0.3729
Y  0.3727  0.3727  0.3727
Se  0.1384  0.1384  0.1384
Se  0.1377  0.1377  0.5843
Se  0.1377  0.5843  0.1377
Se  0.1472  0.6173  0.6173
Se  0.5843  0.1377  0.1377
Se  0.6173  0.1472  0.6173
Se  0.6173  0.6173  0.1472
Se  0.6171  0.6171  0.6171

Record 3
For TbHf3, a structure optimized by DFT (PBE) gives the theoretical powder diffractogram in this record (λ = 1.5418 Å (Cu Kα)).

Largest 10 diffraction maxima, low angle first, 10° ≤ 2θ ≤ 90°:
d [Å], I/Imax
2.857, 12
2.836, 25
2.591, 37
2.502, 52
2.488, 100
1.913, 16
1.645, 19
1.475, 20
1.389, 22
1.368, 16

Lattice parameters (Å, degrees): 3.2663 10.3653 5.7141 90.00 90.00 90.00
Positions (direct):
Tb  0.0000  0.0000  0.0000
Tb  0.5000  0.5000  0.5000
Hf  0.0000  0.2454  0.6668
Hf  0.0000  0.5000  0.9953
Hf  0.0000  0.7546  0.6668
Hf  0.5000  0.0000  0.4953
Hf  0.5000  0.2546  0.1668
Hf  0.5000  0.7454  0.1668